1.
This entry pairs a crystal structure of SmH3O3 with its simulated powder XRD pattern. Radiation: CuKα. Structure: a crystal structure in the Materials Project, relaxed with GGA-PBE.
Intensities are scaled so that the largest is 100.

The 12 most intense peaks (10 to 80 degrees two-theta), sorted by position:
| two_theta | d_spacing | I (rel.) | index |
| --- | --- | --- | --- |
| 16.02 | 5.531 | 96 | 1 0 0 |
| 27.94 | 3.193 | 69 | 1 1 0 |
| 29.08 | 3.070 | 100 | 1 0 1 |
| 32.37 | 2.765 | 17 | 2 0 0 |
| 40.77 | 2.213 | 70 | 2 0 1 |
| 49.42 | 1.844 | 36 | 0 0 2 |
| 50.15 | 1.819 | 63 | 2 1 1 |
| 57.71 | 1.598 | 31 | 2 2 0 |
| 65.94 | 1.417 | 20 | 1 3 1 |
| 72.46 | 1.304 | 15 | 3 0 2 |
| 79.37 | 1.207 | 19 | 4 1 0 |
| 79.93 | 1.200 | 24 | 2 3 1 |

Atomic structure:
```
data_SmH3O3
_chemical_formula_sum 'Sm2 H6 O6'
_cell_length_a 6.3866
_cell_length_b 6.3866
_cell_length_c 3.6914
_cell_angle_alpha 90.00
_cell_angle_beta 90.00
_cell_angle_gamma 120.00
_symmetry_space_group_name_H-M 'P 1'
_symmetry_Int_Tables_number 1
_symmetry_space_group_name_Hall 'P 1'
loop_
_atom_site_label
_atom_site_fract_x
_atom_site_fract_y
_atom_site_fract_z
Sm1 0.3333 0.6667 0.2500
Sm2 0.6667 0.3333 0.7500
H1 0.1359 0.8607 0.7500
H2 0.1393 0.2752 0.7500
H3 0.2752 0.1359 0.2500
H4 0.7248 0.8641 0.7500
H5 0.8607 0.7248 0.2500
H6 0.8641 0.1393 0.2500
O1 0.0830 0.3922 0.7500
O2 0.3092 0.9170 0.7500
O3 0.3922 0.3092 0.2500
O4 0.6078 0.6908 0.7500
O5 0.6908 0.0830 0.2500
O6 0.9170 0.6078 0.2500
```

***

2.
This entry pairs a crystal structure of SmHO2 with its simulated powder XRD pattern. Radiation: CuKα. Structure: a crystal structure in the Materials Project, relaxed with GGA-PBE.
Intensities are scaled so that the largest is 100.

The 12 most intense peaks (10 to 80 degrees two-theta), sorted by position:
| two_theta | d_spacing | I (rel.) | index |
| --- | --- | --- | --- |
| 19.02 | 4.666 | 92 | 1 0 1 |
| 23.40 | 3.802 | 45 | 2 0 1 |
| 28.84 | 3.096 | 73 | 2 1 0 |
| 29.34 | 3.044 | 59 | 3 0 1 |
| 29.84 | 2.994 | 29 | 0 1 1 |
| 30.88 | 2.895 | 100 | 1 1 1 |
| 31.50 | 2.840 | 34 | 4 0 0 |
| 35.98 | 2.496 | 22 | 1 0 2 |
| 43.77 | 2.068 | 29 | 1 1 2 |
| 49.58 | 1.839 | 38 | 3 1 2 |
| 50.41 | 1.810 | 40 | 5 1 1 |
| 59.74 | 1.548 | 36 | 0 1 3 |

Atomic structure:
```
data_SmHO2
_chemical_formula_sum 'Sm4 H4 O8'
_cell_length_a 11.3618
_cell_length_b 3.6924
_cell_length_c 5.1177
_cell_angle_alpha 90.00
_cell_angle_beta 90.00
_cell_angle_gamma 90.00
_symmetry_space_group_name_H-M 'P 1'
_symmetry_Int_Tables_number 1
_symmetry_space_group_name_Hall 'P 1'
loop_
_atom_site_label
_atom_site_fract_x
_atom_site_fract_y
_atom_site_fract_z
Sm1 0.1459 0.2500 0.0856
Sm2 0.3541 0.7500 0.5856
Sm3 0.6459 0.2500 0.4144
Sm4 0.8541 0.7500 0.9144
H1 0.0906 0.7500 0.6267
H2 0.4094 0.2500 0.1267
H3 0.5906 0.7500 0.8733
H4 0.9094 0.2500 0.3733
O1 0.0639 0.7500 0.8109
O2 0.1918 0.7500 0.3257
O3 0.3082 0.2500 0.8257
O4 0.4361 0.2500 0.3109
O5 0.5639 0.7500 0.6891
O6 0.6918 0.7500 0.1743
O7 0.8082 0.2500 0.6743
O8 0.9361 0.2500 0.1891
```

***

3.
This entry pairs a crystal structure of SmH3O3 with its simulated powder XRD pattern. Radiation: CuKα. Structure: a crystal structure in the Materials Project, relaxed with GGA-PBE.
Intensities are scaled so that the largest is 100.

The 12 most intense peaks (10 to 80 degrees two-theta), sorted by position:
| two_theta | d_spacing | I (rel.) | index |
| --- | --- | --- | --- |
| 15.58 | 5.687 | 49 | 0 0 1 |
| 15.79 | 5.612 | 60 | 1 0 0 |
| 15.94 | 5.562 | 51 | 1 0 -1 |
| 27.20 | 3.279 | 40 | 1 0 1 |
| 27.45 | 3.249 | 38 | 1 0 -2 |
| 27.82 | 3.207 | 37 | 2 0 -1 |
| 29.16 | 3.063 | 54 | 0 1 1 |
| 29.31 | 3.047 | 100 | 1 1 -1 |
| 40.27 | 2.240 | 35 | 0 1 2 |
| 40.62 | 2.221 | 40 | 2 1 0 |
| 40.86 | 2.209 | 37 | 2 1 -2 |
| 49.19 | 1.852 | 35 | 3 0 -3 |

Atomic structure:
```
data_SmH3O3
_chemical_formula_sum 'Sm2 H6 O6'
_cell_length_a 6.4136
_cell_length_b 3.6350
_cell_length_c 6.4998
_cell_angle_alpha 90.00
_cell_angle_beta 118.96
_cell_angle_gamma 90.00
_symmetry_space_group_name_H-M 'P 1'
_symmetry_Int_Tables_number 1
_symmetry_space_group_name_Hall 'P 1'
loop_
_atom_site_label
_atom_site_fract_x
_atom_site_fract_y
_atom_site_fract_z
Sm1 0.1600 0.2500 0.3275
Sm2 0.8400 0.7500 0.6725
H1 0.2276 0.2500 0.8638
H2 0.3581 0.7500 0.6965
H3 0.3707 0.7500 0.1442
H4 0.6293 0.2500 0.8558
H5 0.6419 0.2500 0.3035
H6 0.7724 0.7500 0.1362
O1 0.1097 0.2500 0.9169
O2 0.1857 0.7500 0.5951
O3 0.4164 0.7500 0.3109
O4 0.5836 0.2500 0.6891
O5 0.8143 0.2500 0.4049
O6 0.8903 0.7500 0.0831
```

***

Repeat the first record exactly.
This entry pairs a crystal structure of SmH3O3 with its simulated powder XRD pattern. Radiation: CuKα. Structure: a crystal structure in the Materials Project, relaxed with GGA-PBE.
Intensities are scaled so that the largest is 100.

The 12 most intense peaks (10 to 80 degrees two-theta), sorted by position:
| two_theta | d_spacing | I (rel.) | index |
| --- | --- | --- | --- |
| 16.02 | 5.531 | 96 | 1 0 0 |
| 27.94 | 3.193 | 69 | 1 1 0 |
| 29.08 | 3.070 | 100 | 1 0 1 |
| 32.37 | 2.765 | 17 | 2 0 0 |
| 40.77 | 2.213 | 70 | 2 0 1 |
| 49.42 | 1.844 | 36 | 0 0 2 |
| 50.15 | 1.819 | 63 | 2 1 1 |
| 57.71 | 1.598 | 31 | 2 2 0 |
| 65.94 | 1.417 | 20 | 1 3 1 |
| 72.46 | 1.304 | 15 | 3 0 2 |
| 79.37 | 1.207 | 19 | 4 1 0 |
| 79.93 | 1.200 | 24 | 2 3 1 |

Atomic structure:
```
data_SmH3O3
_chemical_formula_sum 'Sm2 H6 O6'
_cell_length_a 6.3866
_cell_length_b 6.3866
_cell_length_c 3.6914
_cell_angle_alpha 90.00
_cell_angle_beta 90.00
_cell_angle_gamma 120.00
_symmetry_space_group_name_H-M 'P 1'
_symmetry_Int_Tables_number 1
_symmetry_space_group_name_Hall 'P 1'
loop_
_atom_site_label
_atom_site_fract_x
_atom_site_fract_y
_atom_site_fract_z
Sm1 0.3333 0.6667 0.2500
Sm2 0.6667 0.3333 0.7500
H1 0.1359 0.8607 0.7500
H2 0.1393 0.2752 0.7500
H3 0.2752 0.1359 0.2500
H4 0.7248 0.8641 0.7500
H5 0.8607 0.7248 0.2500
H6 0.8641 0.1393 0.2500
O1 0.0830 0.3922 0.7500
O2 0.3092 0.9170 0.7500
O3 0.3922 0.3092 0.2500
O4 0.6078 0.6908 0.7500
O5 0.6908 0.0830 0.2500
O6 0.9170 0.6078 0.2500
```

***

Please write out number 3 again, unchanged.
This entry pairs a crystal structure of SmH3O3 with its simulated powder XRD pattern. Radiation: CuKα. Structure: a crystal structure in the Materials Project, relaxed with GGA-PBE.
Intensities are scaled so that the largest is 100.

The 12 most intense peaks (10 to 80 degrees two-theta), sorted by position:
| two_theta | d_spacing | I (rel.) | index |
| --- | --- | --- | --- |
| 15.58 | 5.687 | 49 | 0 0 1 |
| 15.79 | 5.612 | 60 | 1 0 0 |
| 15.94 | 5.562 | 51 | 1 0 -1 |
| 27.20 | 3.279 | 40 | 1 0 1 |
| 27.45 | 3.249 | 38 | 1 0 -2 |
| 27.82 | 3.207 | 37 | 2 0 -1 |
| 29.16 | 3.063 | 54 | 0 1 1 |
| 29.31 | 3.047 | 100 | 1 1 -1 |
| 40.27 | 2.240 | 35 | 0 1 2 |
| 40.62 | 2.221 | 40 | 2 1 0 |
| 40.86 | 2.209 | 37 | 2 1 -2 |
| 49.19 | 1.852 | 35 | 3 0 -3 |

Atomic structure:
```
data_SmH3O3
_chemical_formula_sum 'Sm2 H6 O6'
_cell_length_a 6.4136
_cell_length_b 3.6350
_cell_length_c 6.4998
_cell_angle_alpha 90.00
_cell_angle_beta 118.96
_cell_angle_gamma 90.00
_symmetry_space_group_name_H-M 'P 1'
_symmetry_Int_Tables_number 1
_symmetry_space_group_name_Hall 'P 1'
loop_
_atom_site_label
_atom_site_fract_x
_atom_site_fract_y
_atom_site_fract_z
Sm1 0.1600 0.2500 0.3275
Sm2 0.8400 0.7500 0.6725
H1 0.2276 0.2500 0.8638
H2 0.3581 0.7500 0.6965
H3 0.3707 0.7500 0.1442
H4 0.6293 0.2500 0.8558
H5 0.6419 0.2500 0.3035
H6 0.7724 0.7500 0.1362
O1 0.1097 0.2500 0.9169
O2 0.1857 0.7500 0.5951
O3 0.4164 0.7500 0.3109
O4 0.5836 0.2500 0.6891
O5 0.8143 0.2500 0.4049
O6 0.8903 0.7500 0.0831
```